Structure and simulated powder XRD pattern of PmGa3H12 (a structure optimized by DFT (GGA-PBE); copper Kα).
No peak broadening, texture or thermal motion is included.

Cell lengths 8.8045, 8.8045, 5.7980 Å; angles 90.00, 90.00, 120.00 degrees
Space group P6_3/m (No. 176)
Unique sites:
Pm 0.3333 0.6667 0.2500 [2 per cell]
Ga 0.0883 0.7166 0.7500 [6 per cell]
H 0.0044 0.8346 0.7500 [6 per cell]
H 0.0410 0.4947 0.2500 [6 per cell]
H 0.2150 0.7512 0.5304 [12 per cell]

Peak list (10 most intense, 2θ from 5° to 70°, by intensity)
h k l  2θ (°)  I/Imax
2 0 1  28.0  100
1 1 1  25.4  52
1 0 0  11.6  42
1 2 1  34.8  41
0 0 2  30.8  31
3 2 1  54.8  30
3 0 0  35.3  26
3 0 2  47.6  24
1 0 1  19.2  21
1 2 0  31.0  20

***

Structure and simulated powder XRD pattern of Mn2NbS4 (a structure optimized by DFT (GGA-PBE); copper Kα).
No peak broadening, texture or thermal motion is included.

Cell lengths 3.2595, 11.9568, 13.3686 Å; angles 90.00, 90.00, 90.00 degrees
Space group Cmcm (No. 63)
Unique sites:
Mn 0.0000 0.0943 0.1035 [8 per cell]
Nb 0.0000 0.3133 0.2500 [4 per cell]
S 0.0000 0.0259 0.7500 [4 per cell]
S 0.0000 0.2550 0.6216 [8 per cell]
S 0.0000 0.5000 0.0000 [4 per cell]

Peak list (10 most intense, 2θ from 5° to 70°, by intensity)
h k l  2θ (°)  I/Imax
0 2 3  24.9  100
1 3 3  41.1  63
1 3 2  38.1  48
0 2 2  19.9  32
0 0 2  13.2  26
0 4 1  30.6  26
0 6 4  53.5  25
1 5 0  47.1  25
1 1 4  39.3  24
0 0 8  55.0  24